1.
Theoretical XRD peak list of Er4TlGaN for copper Kα, from a structure optimized by DFT (GGA-PBE).
Intensities are scaled so that the largest is 100.

Structural model:
a = 8.3373 Å, b = 8.3373 Å, c = 6.5882 Å
α = 90.00°, β = 90.00°, γ = 133.50°
Fractional positions:
Er (0.0000, 0.5000, 0.0000)
Er (0.0000, 0.5000, 0.5000)
Er (0.0800, 0.9200, 0.7500)
Er (0.4124, 0.5876, 0.7500)
Er (0.5000, 0.0000, 0.0000)
Er (0.5000, 0.0000, 0.5000)
Er (0.5876, 0.4124, 0.2500)
Er (0.9200, 0.0800, 0.2500)
Tl (0.3895, 0.6105, 0.2500)
Tl (0.6105, 0.3895, 0.7500)
Ga (0.1179, 0.8821, 0.2500)
Ga (0.8821, 0.1179, 0.7500)
N (0.2505, 0.7495, 0.7500)
N (0.7495, 0.2505, 0.2500)

Most intense lines, 2θ = 10–80°, by angle:
29.5°, I 83
35.1°, I 45
36.0°, I 100
38.7°, I 67
53.2°, I 46
64.4°, I 19
67.7°, I 20
68.2°, I 31

2.
Theoretical XRD peak list of La3CoBi for copper Kα, from a structure optimized by DFT (GGA-PBE).
Intensities are scaled so that the largest is 100.

Structural model:
a = 8.4939 Å, b = 8.4939 Å, c = 8.8902 Å
α = 92.99°, β = 92.99°, γ = 29.11°
Fractional positions:
La (0.0468, 0.0468, 0.1844)
La (0.2503, 0.2503, 0.7757)
La (0.3795, 0.3795, 0.4690)
La (0.6205, 0.6205, 0.5310)
La (0.7497, 0.7497, 0.2243)
La (0.9532, 0.9532, 0.8156)
Co (0.1949, 0.1949, 0.4123)
Co (0.8051, 0.8051, 0.5877)
Bi (0.3867, 0.3867, 0.0793)
Bi (0.6133, 0.6133, 0.9207)

Most intense lines, 2θ = 10–80°, by angle:
26.5°, I 37
28.0°, I 100
29.7°, I 36
30.4°, I 59
32.9°, I 39
34.5°, I 48
37.6°, I 53
42.3°, I 45

3.
Theoretical XRD peak list of CrNi2Se4 for copper Kα, from a structure optimized by DFT (GGA-PBE).
Intensities are scaled so that the largest is 100.

Structural model:
a = 7.1670 Å, b = 7.1670 Å, c = 7.1670 Å
α = 120.87°, β = 119.01°, γ = 90.11°
Fractional positions:
Cr (0.5000, 0.0000, 0.0000)
Cr (0.5000, 0.5000, 0.5000)
Ni (0.0000, 0.0000, 0.0000)
Ni (0.1227, 0.3727, 0.7500)
Ni (0.5000, 0.0000, 0.5000)
Ni (0.8773, 0.6273, 0.2500)
Se (0.2515, 0.2411, 0.0103)
Se (0.2536, 0.2381, 0.4845)
Se (0.2536, 0.7692, 0.0155)
Se (0.2692, 0.7589, 0.5103)
Se (0.7308, 0.2411, 0.4897)
Se (0.7464, 0.2308, 0.9845)
Se (0.7464, 0.7619, 0.5155)
Se (0.7485, 0.7589, 0.9897)

Most intense lines, 2θ = 10–80°, by angle:
29.0°, I 18
29.4°, I 15
30.3°, I 29
30.8°, I 28
35.4°, I 100
50.2°, I 22
51.0°, I 82
51.7°, I 19

4.
Theoretical XRD peak list of Bi9I2 for copper Kα, from a structure optimized by DFT (GGA-PBE).
Intensities are scaled so that the largest is 100.

Structural model:
a = 13.4788 Å, b = 4.5080 Å, c = 15.2644 Å
α = 90.00°, β = 113.71°, γ = 90.00°
Fractional positions:
Bi (0.0062, 0.2500, 0.3333)
Bi (0.0587, 0.7500, 0.0702)
Bi (0.1082, 0.2500, 0.8090)
Bi (0.2051, 0.2500, 0.2811)
Bi (0.2618, 0.7500, 0.0177)
Bi (0.3047, 0.2500, 0.7510)
Bi (0.3186, 0.7500, 0.4270)
Bi (0.3759, 0.2500, 0.1594)
Bi (0.4209, 0.7500, 0.8924)
Bi (0.5791, 0.2500, 0.1076)
Bi (0.6241, 0.7500, 0.8406)
Bi (0.6814, 0.2500, 0.5730)
Bi (0.6953, 0.7500, 0.2490)
Bi (0.7382, 0.2500, 0.9823)
Bi (0.7949, 0.7500, 0.7189)
Bi (0.8918, 0.7500, 0.1910)
Bi (0.9413, 0.2500, 0.9298)
Bi (0.9938, 0.7500, 0.6667)
I (0.1615, 0.7500, 0.5333)
I (0.4817, 0.2500, 0.6275)
I (0.5183, 0.7500, 0.3725)
I (0.8385, 0.2500, 0.4667)

Most intense lines, 2θ = 10–80°, by angle:
26.1°, I 100
27.5°, I 48
34.2°, I 18
36.7°, I 38
39.8°, I 35
40.0°, I 19
41.6°, I 12
49.2°, I 20

5.
Theoretical XRD peak list of Ag7BiSe6 for copper Kα, from a structure optimized by DFT (GGA-PBE).
Intensities are scaled so that the largest is 100.

Structural model:
a = 8.3524 Å, b = 8.3524 Å, c = 8.3524 Å
α = 52.75°, β = 52.75°, γ = 52.75°
Fractional positions:
Ag (0.0000, 0.0000, 0.0000)
Ag (0.2041, 0.5487, 0.8976)
Ag (0.2163, 0.6993, 0.4754)
Ag (0.4754, 0.2163, 0.6993)
Ag (0.5487, 0.8976, 0.2041)
Ag (0.6993, 0.4754, 0.2163)
Ag (0.8976, 0.2041, 0.5487)
Bi (0.6797, 0.6797, 0.6797)
Se (0.0403, 0.4020, 0.8271)
Se (0.2730, 0.9199, 0.6036)
Se (0.4020, 0.8271, 0.0403)
Se (0.6036, 0.2730, 0.9199)
Se (0.8271, 0.0403, 0.4020)
Se (0.9199, 0.6036, 0.2730)

Most intense lines, 2θ = 10–80°, by angle:
14.4°, I 20
21.5°, I 23
27.1°, I 76
34.8°, I 100
37.3°, I 32
38.0°, I 22
42.2°, I 56
45.1°, I 39

6.
Theoretical XRD peak list of Ba3Tl2Pd2Au4 for copper Kα, from a structure optimized by DFT (GGA-PBE).
Intensities are scaled so that the largest is 100.

Structural model:
a = 4.8168 Å, b = 4.8168 Å, c = 16.2652 Å
α = 90.00°, β = 90.00°, γ = 120.00°
Fractional positions:
Ba (0.0000, 0.0000, 0.0000)
Ba (0.0000, 0.0000, 0.2593)
Ba (0.0000, 0.0000, 0.7407)
Tl (0.3333, 0.6667, 0.5692)
Tl (0.6667, 0.3333, 0.4308)
Pd (0.3333, 0.6667, 0.1350)
Pd (0.6667, 0.3333, 0.8650)
Au (0.3333, 0.6667, 0.3859)
Au (0.3333, 0.6667, 0.8677)
Au (0.6667, 0.3333, 0.1323)
Au (0.6667, 0.3333, 0.6141)

Most intense lines, 2θ = 10–80°, by angle:
24.0°, I 22
27.0°, I 23
30.7°, I 93
37.3°, I 100
39.7°, I 22
49.1°, I 25
54.9°, I 23
63.3°, I 24